1.
For SmMgVS4, a GGA-PBE-relaxed structure gives the computed powder diffractogram in this record (λ = 1.5418 Å (Cu Kα)).
No peak broadening, texture or thermal motion is included.

Most intense lines, 2θ = 10–90°, in order of falling intensity:
(hkl), d [Å], 2θ/deg, I/Imax
0 0 1, 6.193, 14.3, 100
0 2 1, 3.293, 27.1, 80
2 2 -2, 2.715, 33.0, 77
2 2 2, 1.908, 47.7, 68
2 0 1, 3.234, 27.6, 42
4 0 0, 2.682, 33.4, 37
2 2 1, 2.486, 36.1, 26
1 1 0, 6.295, 14.1, 24
0 0 3, 2.066, 43.8, 21
2 0 0, 5.363, 16.5, 20

Structural model:
a b c (Å): 13.1299 7.7751 7.5843
angles (deg): 90.00 125.22 90.00
Space group C2/m (No. 12)
Symmetry-distinct sites (fractional):
Sm 0.2500 0.2500 0.0000 [4 per cell]
Mg 0.1230 0.0000 0.3731 [4 per cell]
V 0.0000 0.5000 0.0000 [2 per cell]
V 0.0000 0.5000 0.5000 [2 per cell]
S 0.0070 0.2855 0.2570 [8 per cell]
S 0.2294 0.5000 0.2340 [4 per cell]
S 0.2294 0.5000 0.7249 [4 per cell]



2.
For Na3Ti2P3O12, a GGA-PBE-relaxed structure gives the computed powder diffractogram in this record (λ = 1.5418 Å (Cu Kα)).
No peak broadening, texture or thermal motion is included.

Most intense lines, 2θ = 10–90°, in order of falling intensity:
(hkl), d [Å], 2θ/deg, I/Imax
1 1 6, 2.885, 31.0, 100
1 0 4, 4.572, 19.4, 47
1 1 3, 3.836, 23.2, 47
0 1 2, 6.377, 13.9, 46
0 2 4, 3.189, 28.0, 35
3 0 0, 2.569, 34.9, 30
4 -2 6, 1.918, 47.4, 22
2 1 10, 1.791, 51.0, 15
0 0 6, 3.786, 23.5, 15
4 -3 10, 1.557, 59.4, 14

Structural model:
a b c (Å): 8.8998 8.8998 22.7139
angles (deg): 90.00 90.00 120.00
Space group R-3 (No. 148, hexagonal axes)
Symmetry-distinct sites (fractional):
Na 0.0239 0.6376 0.2245 [18 per cell]
Ti 0.0000 0.0000 0.1497 [6 per cell]
Ti 0.0000 0.0000 0.3523 [6 per cell]
P 0.0005 0.2864 0.2512 [18 per cell]
O 0.0011 0.8131 0.4091 [18 per cell]
O 0.0211 0.8178 0.6923 [18 per cell]
O 0.0585 0.2184 0.9013 [18 per cell]
O 0.0646 0.2163 0.1992 [18 per cell]



3.
For TiAuBr, a GGA-PBE-relaxed structure gives the computed powder diffractogram in this record (λ = 1.5418 Å (Cu Kα)).
No peak broadening, texture or thermal motion is included.

Most intense lines, 2θ = 10–90°, in order of falling intensity:
(hkl), d [Å], 2θ/deg, I/Imax
2 2 0, 2.265, 39.8, 100
1 1 1, 3.699, 24.1, 66
3 1 1, 1.932, 47.0, 35
4 2 2, 1.308, 72.2, 34
2 0 0, 3.203, 27.9, 32
4 0 0, 1.602, 57.5, 17
3 3 1, 1.470, 63.3, 15
4 2 0, 1.433, 65.1, 12
5 1 1, 1.233, 77.4, 12
4 4 0, 1.132, 85.8, 11

Structural model:
a b c (Å): 6.4064 6.4064 6.4064
angles (deg): 90.00 90.00 90.00
Space group F-43m (No. 216)
Symmetry-distinct sites (fractional):
Ti 0.0000 0.0000 0.0000 [4 per cell]
Au 0.0000 0.0000 0.5000 [4 per cell]
Br 0.2500 0.2500 0.7500 [4 per cell]



4.
For CaAgF5, a GGA-PBE-relaxed structure gives the computed powder diffractogram in this record (λ = 1.5418 Å (Cu Kα)).
No peak broadening, texture or thermal motion is included.

Most intense lines, 2θ = 10–90°, in order of falling intensity:
(hkl), d [Å], 2θ/deg, I/Imax
1 -1 0, 4.647, 19.1, 100
1 0 -2, 3.453, 25.8, 41
1 1 0, 3.085, 28.9, 32
2 -2 0, 2.324, 38.8, 32
1 0 0, 5.268, 16.8, 24
0 1 0, 5.023, 17.7, 20
1 -1 4, 1.812, 50.4, 20
1 -2 2, 2.608, 34.4, 20
2 1 -2, 2.131, 42.4, 18
0 1 2, 2.519, 35.6, 17

Structural model:
a b c (Å): 5.7515 5.8175 8.1208
angles (deg): 110.45 96.32 108.87
Space group P-1 (No. 2)
Symmetry-distinct sites (fractional):
Ca 0.0413 0.0419 0.2458 [2 per cell]
Ag 0.5000 0.5000 0.0000 [1 per cell]
Ag 0.5000 0.5000 0.5000 [1 per cell]
F 0.1739 0.1969 0.5212 [2 per cell]
F 0.1954 0.1772 0.9690 [2 per cell]
F 0.2391 0.7206 0.8724 [2 per cell]
F 0.2892 0.7576 0.3798 [2 per cell]
F 0.4005 0.3983 0.2441 [2 per cell]



What is the formula in the fourth record?
CaAgF5